# K2As7Pd12
Simulated powder diffractogram, Cu Kα (weighted mean of Kα1 and Kα2). Input: the GGA-PBE geometry in Alexandria.
Intensities are scaled so that the largest is 100.

Structural model:
Unit cell a=10.2833 b=10.2833 c=4.0883 alpha=90.00 beta=90.00 gamma=120.00
Space group P-3 (No. 147)
One atom of each set of equivalent atoms:
K1 0.3333 0.6667 0.2519 x2
As1 0.0000 0.0000 0.0000 x1
As2 0.1136 0.4059 0.7512 x6
Pd1 0.0517 0.6189 0.7513 x6
Pd2 0.1088 0.8561 0.2631 x6

The 6 most intense peaks (10° ≤ 2θ ≤ 80°), by intensity:
(1 2 1), 2θ 34.52, intensity 100.0; (0 0 2), 2θ 44.32, intensity 48.3; (4 -3 1), 2θ 42.77, intensity 41.7; (1 1 0), 2θ 17.25, intensity 26.2; (4 1 0), 2θ 46.74, intensity 25.4; (0 3 1), 2θ 37.44, intensity 18.7